Diffraction record for TmIn2Ni2. The powder diffractogram is computed, not measured: it uses a crystal structure in Alexandria, relaxed with PBE and a wavelength of 1.5418 Å.
Lines closer than 0.1° are merged.

Most intense lines, 5° ≤ 2θ ≤ 70°, in order of rising 2θ:
(1 1 -1), d 3.304, 27.0 deg, rel. 553
(1 1 1), d 2.886, 31.0 deg, rel. 711
(2 0 -2), d 2.452, 36.7 deg, rel. 239
(1 1 -3), d 2.365, 38.0 deg, rel. 455
(0 1 3), d 2.357, 38.2 deg, rel. 1000
(0 2 0), d 2.234, 40.4 deg, rel. 674
(2 0 1), d 2.192, 41.2 deg, rel. 366
(2 1 0), d 2.154, 41.9 deg, rel. 229
(2 1 -2), d 2.149, 42.0 deg, rel. 609
(2 2 1), d 1.565, 59.0 deg, rel. 246

Atomic structure:
```
data_TmIn2Ni2
_chemical_formula_sum 'Tm2 In4 Ni4'
_space_group_name_H-M_alt 'P 1 21/m 1'
_space_group_IT_number 11
_cell_length_a 5.140
_cell_length_b 4.467
_cell_length_c 8.699
_cell_angle_alpha 90.00
_cell_angle_beta 106.87
_cell_angle_gamma 90.00
loop_
_space_group_symop_operation_xyz
'x,y,z'
'-x,-y,-z'
'-x,y+1/2,-z'
'x,-y+1/2,z'
loop_
_atom_site_label
_atom_site_type_symbol
_atom_site_fract_x
_atom_site_fract_y
_atom_site_fract_z
Tm1 Tm 0.053 0.250 0.263
In1 In 0.322 0.250 0.965
In2 In 0.421 0.250 0.625
Ni1 Ni 0.119 0.750 0.463
Ni2 Ni 0.191 0.750 0.092
```

Diffraction record for Ba2LaAuO5. The powder diffractogram is computed, not measured: it uses a crystal structure in Alexandria, relaxed with PBE and a wavelength of 1.5418 Å.
Lines closer than 0.1° are merged.

Most intense lines, 5° ≤ 2θ ≤ 70°, in order of rising 2θ:
(0 2 3), d 3.494, 25.5 deg, rel. 627
(1 1 2), d 3.117, 28.6 deg, rel. 1000
(0 4 2), d 3.093, 28.9 deg, rel. 527
(1 3 0), d 2.970, 30.1 deg, rel. 717
(1 3 1), d 2.883, 31.0 deg, rel. 338
(0 2 4), d 2.766, 32.4 deg, rel. 322
(1 1 3), d 2.694, 33.3 deg, rel. 613
(0 6 1), d 2.361, 38.1 deg, rel. 300
(2 0 0), d 1.886, 48.2 deg, rel. 274
(1 5 4), d 1.821, 50.1 deg, rel. 234

Atomic structure:
```
data_Ba2LaAuO5
_chemical_formula_sum 'Ba8 La4 Au4 O20'
_space_group_name_H-M_alt 'C m c 21'
_space_group_IT_number 36
_cell_length_a 3.773
_cell_length_b 14.449
_cell_length_c 11.978
_cell_angle_alpha 90.00
_cell_angle_beta 90.00
_cell_angle_gamma 90.00
loop_
_space_group_symop_operation_xyz
'x,y,z'
'-x,-y,z+1/2'
'-x,y,z'
'x,-y,z+1/2'
'x+1/2,y+1/2,z'
'-x+1/2,-y+1/2,z+1/2'
'-x+1/2,y+1/2,z'
'x+1/2,-y+1/2,z+1/2'
loop_
_atom_site_label
_atom_site_type_symbol
_atom_site_fract_x
_atom_site_fract_y
_atom_site_fract_z
Ba1 Ba 0.000 0.094 0.000
Ba2 Ba 0.000 0.144 0.613
La1 La 0.000 0.208 0.333
Au1 Au 0.000 0.479 0.759
O1 O 0.000 0.059 0.387
O2 O 0.000 0.271 0.958
O3 O 0.000 0.339 0.704
O4 O 0.000 0.381 0.300
O5 O 0.000 0.483 0.093
```

Diffraction record for Cu2H2CO5. The powder diffractogram is computed, not measured: it uses a crystal structure in Alexandria, relaxed with PBE and a wavelength of 1.5418 Å.
Lines closer than 0.1° are merged.

Most intense lines, 5° ≤ 2θ ≤ 70°, in order of rising 2θ:
(0 2 0), d 5.971, 14.8 deg, rel. 448
(0 2 1), d 5.120, 17.3 deg, rel. 555
(0 2 2), d 3.822, 23.3 deg, rel. 355
(1 0 0), d 3.295, 27.1 deg, rel. 1000
(1 1 -1), d 3.180, 28.1 deg, rel. 239
(1 2 0), d 2.888, 31.0 deg, rel. 316
(1 2 -2), d 2.677, 33.5 deg, rel. 197
(0 4 2), d 2.560, 35.1 deg, rel. 303
(1 0 -4), d 2.173, 41.6 deg, rel. 249
(1 3 2), d 2.150, 42.0 deg, rel. 259

Atomic structure:
```
data_Cu2H2CO5
_chemical_formula_sum 'Cu8 H8 C4 O20'
_space_group_name_H-M_alt 'P 1 21/c 1'
_space_group_IT_number 14
_cell_length_a 3.345
_cell_length_b 11.942
_cell_length_c 10.101
_cell_angle_alpha 90.00
_cell_angle_beta 99.88
_cell_angle_gamma 90.00
loop_
_space_group_symop_operation_xyz
'x,y,z'
'-x,-y,-z'
'-x,y+1/2,-z+1/2'
'x,-y+1/2,z+1/2'
loop_
_atom_site_label
_atom_site_type_symbol
_atom_site_fract_x
_atom_site_fract_y
_atom_site_fract_z
Cu1 Cu 0.046 0.213 0.024
Cu2 Cu 0.108 0.122 0.290
H1 H 0.181 0.601 0.002
H2 H 0.307 0.026 0.105
C1 C 0.036 0.622 0.751
O1 O 0.069 0.607 0.627
O2 O 0.077 0.219 0.709
O3 O 0.108 0.542 0.838
O4 O 0.209 0.660 0.073
O5 O 0.377 0.104 0.135
```

Diffraction record for Ce3Pu3Sn5. The powder diffractogram is computed, not measured: it uses a crystal structure in Alexandria, relaxed with PBE and a wavelength of 1.5418 Å.
Lines closer than 0.1° are merged.

Most intense lines, 5° ≤ 2θ ≤ 70°, in order of rising 2θ:
(3 1 -2), d 2.847, 31.4 deg, rel. 107
(1 1 2), d 2.790, 32.1 deg, rel. 1000
(5 1 -1), d 2.647, 33.9 deg, rel. 901
(4 0 -3), d 2.602, 34.5 deg, rel. 323
(6 0 1), d 2.350, 38.3 deg, rel. 334
(0 2 0), d 2.165, 41.7 deg, rel. 300
(10 0 -2), d 1.673, 54.9 deg, rel. 107
(4 2 -3), d 1.664, 55.2 deg, rel. 146
(6 2 1), d 1.592, 57.9 deg, rel. 205
(11 1 0), d 1.388, 67.5 deg, rel. 103

Atomic structure:
```
data_Ce3Pu3Sn5
_chemical_formula_sum 'Ce6 Pu6 Sn10'
_space_group_name_H-M_alt 'C 1 m 1'
_space_group_IT_number 8
_cell_length_a 16.837
_cell_length_b 4.330
_cell_length_c 8.373
_cell_angle_alpha 90.00
_cell_angle_beta 106.85
_cell_angle_gamma 90.00
loop_
_space_group_symop_operation_xyz
'x,y,z'
'x,-y,z'
'x+1/2,y+1/2,z'
'x+1/2,-y+1/2,z'
loop_
_atom_site_label
_atom_site_type_symbol
_atom_site_fract_x
_atom_site_fract_y
_atom_site_fract_z
Ce1 Ce 0.000 0.000 0.000
Ce2 Ce 0.052 0.500 0.651
Ce3 Ce 0.267 0.000 0.307
Pu1 Pu 0.106 0.000 0.341
Pu2 Pu 0.335 0.500 0.008
Pu3 Pu 0.433 0.500 0.529
Sn1 Sn 0.148 0.500 0.074
Sn2 Sn 0.192 0.000 0.842
Sn3 Sn 0.237 0.500 0.578
Sn4 Sn 0.374 0.000 0.748
Sn5 Sn 0.453 0.000 0.259
```